No. 1
This entry pairs a crystal structure of Ac5Sn6 with its theoretical X-ray powder pattern. Radiation: λ = 1.5418 Å (Cu Kα). Structure: a PBE-relaxed structure.
No peak broadening, texture or thermal motion is included.

Atomic structure:
Cell: 4.5912 33.6638 4.9918 Å, 90.00 90.00 90.00°
Space group Cmmm (No. 65)
Unique sites:
Ac  0.0000  0.0000  0.0000 x2
Ac  0.0000  0.1997  0.5000 x4
Ac  0.0000  0.3856  0.0000 x4
Sn  0.0000  0.1000  0.5000 x4
Sn  0.0000  0.2810  0.0000 x4
Sn  0.0000  0.4573  0.5000 x4

Largest 6 diffraction maxima, in order of falling intensity, 2θ from 15° to 90°:
2θ = 27.57°, d = 3.236 Å, I 100.0, (1 3 1); 2θ = 27.73°, d = 3.217 Å, I 35.5, (0 8 1); 2θ = 35.81°, d = 2.507 Å, I 32.7, (1 9 1); 2θ = 35.98°, d = 2.496 Å, I 29.3, (0 0 2); 2θ = 26.48°, d = 3.366 Å, I 26.1, (0 10 0); 2θ = 39.25°, d = 2.296 Å, I 23.2, (2 0 0)

***

No. 2
This entry pairs a crystal structure of AcSn4 with its theoretical X-ray powder pattern. Radiation: λ = 1.5418 Å (Cu Kα). Structure: a PBE-relaxed structure.
No peak broadening, texture or thermal motion is included.

Atomic structure:
Cell: 5.0423 6.9642 16.8229 Å, 90.00 90.00 90.00°
Space group Imma (No. 74)
Unique sites:
Ac  0.0000  0.2500  0.1160 x4
Sn  0.0000  0.0000  0.5000 x4
Sn  0.0000  0.0388  0.6948 x8
Sn  0.0000  0.2500  0.9044 x4

Largest 6 diffraction maxima, in order of falling intensity, 2θ from 15° to 90°:
2θ = 31.98°, d = 2.799 Å, I 100.0, (1 0 5); 2θ = 31.68°, d = 2.825 Å, I 94.4, (1 2 1); 2θ = 33.41°, d = 2.682 Å, I 42.3, (0 2 4); 2θ = 35.61°, d = 2.521 Å, I 41.2, (2 0 0); 2θ = 49.63°, d = 1.837 Å, I 28.5, (2 2 4); 2θ = 62.86°, d = 1.478 Å, I 21.4, (1 4 5)

***

No. 3
This entry pairs a crystal structure of AcSn2 with its theoretical X-ray powder pattern. Radiation: λ = 1.5418 Å (Cu Kα). Structure: a PBE-relaxed structure.
No peak broadening, texture or thermal motion is included.

Atomic structure:
Cell: 4.6445 17.1487 4.8574 Å, 90.00 90.00 90.00°
Space group Cmmm (No. 65)
Unique sites:
Ac  0.0000  0.1448  0.0000 x4
Sn  0.0000  0.0000  0.5000 x2
Sn  0.0000  0.3100  0.5000 x4
Sn  0.0000  0.5000  0.0000 x2

Largest 6 diffraction maxima, in order of falling intensity, 2θ from 15° to 90°:
2θ = 30.89°, d = 2.895 Å, I 100.0, (1 3 1); 2θ = 37.01°, d = 2.429 Å, I 17.8, (0 0 2); 2θ = 62.92°, d = 1.477 Å, I 16.8, (1 3 3); 2θ = 38.78°, d = 2.322 Å, I 15.7, (2 0 0); 2θ = 31.30°, d = 2.858 Å, I 15.6, (0 6 0); 2θ = 27.75°, d = 3.214 Å, I 14.1, (0 4 1)

***

No. 4
This entry pairs a crystal structure of SrAcSn with its theoretical X-ray powder pattern. Radiation: λ = 1.5418 Å (Cu Kα). Structure: a PBE-relaxed structure.
No peak broadening, texture or thermal motion is included.

Atomic structure:
Cell: 4.9968 4.9968 9.2072 Å, 90.00 90.00 90.00°
Space group P4/nmm (No. 129, origin choice 2)
Unique sites:
Sr  0.2500  0.7500  0.0000 x2
Ac  0.2500  0.2500  0.3632 x2
Sn  0.2500  0.2500  0.7337 x2

Largest 6 diffraction maxima, in order of falling intensity, 2θ from 15° to 90°:
2θ = 27.03°, d = 3.299 Å, I 100.0, (1 1 1); 2θ = 35.95°, d = 2.498 Å, I 73.9, (2 0 0); 2θ = 26.32°, d = 3.386 Å, I 66.0, (1 0 2); 2θ = 31.93°, d = 2.803 Å, I 63.1, (1 1 2); 2θ = 25.21°, d = 3.533 Å, I 62.8, (1 1 0); 2θ = 34.29°, d = 2.615 Å, I 49.3, (1 0 3)

***

No. 5
This entry pairs a crystal structure of SrAc7Sn3 with its theoretical X-ray powder pattern. Radiation: λ = 1.5418 Å (Cu Kα). Structure: a PBE-relaxed structure.
No peak broadening, texture or thermal motion is included.

Atomic structure:
Cell: 7.6830 12.5713 9.6489 Å, 90.00 99.45 90.00°
Space group C2/m (No. 12)
Unique sites:
Sr  0.0000  0.0000  0.0000 x2
Ac  0.0000  0.0000  0.5000 x2
Ac  0.1235  0.5000  0.6895 x4
Ac  0.2102  0.2967  0.2050 x8
Sn  0.0000  0.2756  0.5000 x4
Sn  0.0000  0.5000  0.0000 x2

Largest 6 diffraction maxima, in order of falling intensity, 2θ from 15° to 90°:
2θ = 27.55°, d = 3.238 Å, I 100.0, (2 0 -2); 2θ = 26.73°, d = 3.335 Å, I 60.3, (1 3 1); 2θ = 30.32°, d = 2.948 Å, I 42.2, (2 2 1); 2θ = 31.59°, d = 2.832 Å, I 39.9, (0 2 3); 2θ = 35.93°, d = 2.500 Å, I 38.1, (1 3 -3); 2θ = 28.40°, d = 3.143 Å, I 37.6, (0 4 0)

***

No. 6
This entry pairs a crystal structure of Sr3Ac2Sn4 with its theoretical X-ray powder pattern. Radiation: λ = 1.5418 Å (Cu Kα). Structure: a PBE-relaxed structure.
No peak broadening, texture or thermal motion is included.

Atomic structure:
Cell: 8.9517 8.9832 8.4029 Å, 90.00 106.17 90.00°
Space group P2_1/c (No. 14)
Unique sites:
Sr  0.0000  0.0000  0.0000 x2
Sr  0.2553  0.1759  0.7494 x4
Ac  0.3047  0.6888  0.9223 x4
Sn  0.0125  0.6215  0.1232 x4
Sn  0.4225  0.0300  0.1371 x4

Largest 6 diffraction maxima, in order of falling intensity, 2θ from 15° to 90°:
2θ = 28.70°, d = 3.111 Å, I 100.0, (1 1 2); 2θ = 31.88°, d = 2.807 Å, I 29.5, (0 3 1); 2θ = 27.61°, d = 3.231 Å, I 28.1, (2 1 -2); 2θ = 33.54°, d = 2.672 Å, I 26.3, (1 1 -3); 2θ = 26.21°, d = 3.401 Å, I 21.0, (1 2 1); 2θ = 29.41°, d = 3.037 Å, I 20.9, (1 2 -2)

***

No. 7
This entry pairs a crystal structure of SrAc3Sn12 with its theoretical X-ray powder pattern. Radiation: λ = 1.5418 Å (Cu Kα). Structure: a PBE-relaxed structure.
No peak broadening, texture or thermal motion is included.

Atomic structure:
Cell: 4.8870 4.8870 19.7710 Å, 90.00 90.00 90.00°
Space group P4/mmm (No. 123)
Unique sites:
Sr  0.0000  0.0000  0.0000 x1
Ac  0.0000  0.0000  0.2494 x2
Ac  0.0000  0.0000  0.5000 x1
Sn  0.0000  0.5000  0.1222 x4
Sn  0.0000  0.5000  0.3745 x4
Sn  0.5000  0.5000  0.0000 x1
Sn  0.5000  0.5000  0.2484 x2
Sn  0.5000  0.5000  0.5000 x1

Largest 6 diffraction maxima, in order of falling intensity, 2θ from 15° to 90°:
2θ = 31.59°, d = 2.832 Å, I 100.0, (1 1 4); 2θ = 36.78°, d = 2.444 Å, I 33.7, (2 0 0); 2θ = 63.02°, d = 1.475 Å, I 29.1, (3 1 4); 2θ = 52.68°, d = 1.738 Å, I 24.3, (2 0 8); 2θ = 36.35°, d = 2.471 Å, I 17.2, (0 0 8); 2θ = 62.45°, d = 1.487 Å, I 14.7, (1 1 12)

***

No. 8
This entry pairs a crystal structure of SrAc12Sn7 with its theoretical X-ray powder pattern. Radiation: λ = 1.5418 Å (Cu Kα). Structure: a PBE-relaxed structure.
No peak broadening, texture or thermal motion is included.

Atomic structure:
Cell: 17.0165 17.0165 9.5517 Å, 90.00 90.00 120.00°
Space group R-3m (No. 166, hexagonal axes)
Unique sites:
Sr  0.0000  0.0000  0.0000 x3
Ac  0.0000  0.2692  0.0000 x18
Ac  0.1049  0.2099  0.3749 x18
Sn  0.0000  0.0000  0.5000 x3
Sn  0.1098  0.2196  0.7522 x18

Largest 6 diffraction maxima, in order of falling intensity, 2θ from 15° to 90°:
2θ = 28.75°, d = 3.105 Å, I 100.0, (3 1 2); 2θ = 33.53°, d = 2.672 Å, I 71.7, (0 3 3); 2θ = 28.01°, d = 3.186 Å, I 68.5, (0 0 3); 2θ = 31.55°, d = 2.836 Å, I 67.8, (3 3 0); 2θ = 23.68°, d = 3.758 Å, I 44.2, (1 3 1); 2θ = 25.92°, d = 3.437 Å, I 42.2, (4 0 1)